# 1
The following is a theoretical powder XRD pattern of PmPr4Y3. It was derived from the PBE geometry in Alexandria, using Cu Kα (λ = 1.5418 Å).
No peak broadening, texture or thermal motion is included.

Atomic structure:
```
data_PmPr4Y3
_chemical_formula_sum 'Pm2 Pr8 Y6'
_cell_length_a 10.344
_cell_length_b 7.296
_cell_length_c 7.299
_cell_angle_alpha 90.00
_cell_angle_beta 90.00
_cell_angle_gamma 90.00
_space_group_name_H-M_alt 'P m n a'
_space_group_IT_number 53
loop_
_space_group_symop_operation_xyz
'x,y,z'
'-x,-y,-z'
'-x+1/2,-y,z+1/2'
'x+1/2,y,-z+1/2'
'x,-y,-z'
'-x,y,z'
'-x+1/2,y,-z+1/2'
'x+1/2,-y,z+1/2'
loop_
_atom_site_label
_atom_site_fract_x
_atom_site_fract_y
_atom_site_fract_z
Pm1 0.000 0.000 0.000
Pr1 0.000 0.000 0.500
Pr2 0.000 0.500 0.000
Pr3 0.250 0.250 0.250
Y1 0.000 0.500 0.500
Y2 0.250 0.251 0.750
```

Principal peaks in the range 15 to 90 degrees two-theta, sorted by position:
hkl 2 2 0, 2θ = 30.0°, intensity 100
hkl 4 0 0, 2θ = 34.7°, intensity 50
hkl 4 2 2, 2θ = 50.0°, intensity 36
hkl 6 2 0, 2θ = 59.3°, intensity 14
hkl 2 4 2, 2θ = 59.4°, intensity 28
hkl 4 4 0, 2θ = 62.3°, intensity 12
hkl 0 4 4, 2θ = 73.4°, intensity 4
hkl 6 4 2, 2θ = 81.2°, intensity 14
hkl 8 2 2, 2θ = 83.7°, intensity 5
hkl 4 4 4, 2θ = 83.8°, intensity 11

# 2
The following is a theoretical powder XRD pattern of Pm4PrY7. It was derived from the PBE geometry in Alexandria, using Cu Kα (λ = 1.5418 Å).
No peak broadening, texture or thermal motion is included.

Atomic structure:
```
data_Pm4PrY7
_chemical_formula_sum 'Pm4 Pr1 Y7'
_cell_length_a 6.620
_cell_length_b 6.909
_cell_length_c 9.163
_cell_angle_alpha 85.30
_cell_angle_beta 77.02
_cell_angle_gamma 81.86
_space_group_name_H-M_alt 'P -1'
_space_group_IT_number 2
loop_
_space_group_symop_operation_xyz
'x,y,z'
'-x,-y,-z'
loop_
_atom_site_label
_atom_site_fract_x
_atom_site_fract_y
_atom_site_fract_z
Pm1 0.139 0.313 0.285
Pm2 0.337 0.885 0.691
Pr1 0.500 0.500 0.000
Y1 0.013 0.249 0.951
Y2 0.177 0.808 0.361
Y3 0.314 0.393 0.617
Y4 0.500 0.000 0.000
```

Principal peaks in the range 15 to 90 degrees two-theta, sorted by position:
hkl 0 0 3, 2θ = 30.1°, intensity 38
hkl 2 0 2, 2θ = 30.7°, intensity 38
hkl 1 -2 0, 2θ = 31.2°, intensity 100
hkl 2 0 -1, 2θ = 31.7°, intensity 51
hkl 1 2 2, 2θ = 31.9°, intensity 34
hkl 0 1 3, 2θ = 32.2°, intensity 18
hkl 1 -2 3, 2θ = 42.7°, intensity 12
hkl -1 2 3, 2θ = 45.1°, intensity 13
hkl 3 2 1, 2θ = 46.0°, intensity 12
hkl 3 2 -2, 2θ = 56.2°, intensity 15

# 3
The following is a theoretical powder XRD pattern of Pm6PrY2. It was derived from the PBE geometry in Alexandria, using Cu Kα (λ = 1.5418 Å).
No peak broadening, texture or thermal motion is included.

Atomic structure:
```
data_Pm6PrY2
_chemical_formula_sum 'Pm24 Pr4 Y8'
_cell_length_a 5.785
_cell_length_b 9.962
_cell_length_c 21.216
_cell_angle_alpha 90.00
_cell_angle_beta 90.00
_cell_angle_gamma 90.00
_space_group_name_H-M_alt 'I b a m'
_space_group_IT_number 72
_space_group_name_Hall '-I 2 2c'
loop_
_atom_site_label
_atom_site_fract_x
_atom_site_fract_y
_atom_site_fract_z
Pm1 0.000 0.000 0.082
Pm2 0.002 0.333 0.165
Pr1 0.000 0.000 0.250
Y1 0.003 0.333 0.500
```

Principal peaks in the range 15 to 90 degrees two-theta, sorted by position:
hkl 2 0 0, 2θ = 31.0°, intensity 100
hkl 1 3 0, 2θ = 31.1°, intensity 53
hkl 2 2 6, 2θ = 44.4°, intensity 18
hkl 0 4 6, 2θ = 44.5°, intensity 9
hkl 3 3 0, 2θ = 55.1°, intensity 20
hkl 2 4 6, 2θ = 55.2°, intensity 9
hkl 0 6 0, 2θ = 55.3°, intensity 15
hkl 2 0 12, 2θ = 61.5°, intensity 23
hkl 2 6 0, 2θ = 64.7°, intensity 6
hkl 3 3 12, 2θ = 78.9°, intensity 7

# 4
The following is a theoretical powder XRD pattern of PmPr10Y6. It was derived from the PBE geometry in Alexandria, using Cu Kα (λ = 1.5418 Å).
No peak broadening, texture or thermal motion is included.

Atomic structure:
```
data_PmPr10Y6
_chemical_formula_sum 'Pm1 Pr10 Y6'
_cell_length_a 9.9609
_cell_length_b 9.9609
_cell_length_c 6.9961
_cell_angle_alpha 90.00
_cell_angle_beta 90.00
_cell_angle_gamma 120.00
_space_group_name_H-M_alt 'P -3 1 m'
_space_group_IT_number 162
_space_group_name_Hall '-P 3 2'
loop_
_atom_site_label
_atom_site_fract_x
_atom_site_fract_y
_atom_site_fract_z
Pm1 0.0000 0.0000 0.0000
Pr1 0.0000 0.2770 0.6786
Pr2 0.3333 0.6667 0.0000
Pr3 0.3333 0.6667 0.5000
Y1 0.0000 0.3665 0.1845
```

Principal peaks in the range 15 to 90 degrees two-theta, sorted by position:
hkl 2 0 1, 2θ = 24.2°, intensity 10
hkl 2 1 1, 2θ = 30.2°, intensity 37
hkl 3 0 0, 2θ = 31.1°, intensity 79
hkl 2 -1 2, 2θ = 31.2°, intensity 100
hkl 2 2 2, 2θ = 44.7°, intensity 28
hkl 5 -2 1, 2θ = 47.8°, intensity 14
hkl 5 -1 2, 2θ = 55.4°, intensity 27
hkl 1 1 4, 2θ = 55.7°, intensity 18
hkl 4 0 3, 2θ = 58.3°, intensity 9
hkl 5 1 1, 2θ = 61.3°, intensity 11